# LiFe2B2O6
Calculated XRD peak list, Cu Kα (λ = 1.5418 Å). Input: a DFT-relaxed cell (GGA+U, Alexandria).

The 6 most intense peaks (10 to 80 degrees two-theta), by intensity:
2θ/deg  I/Imax
21.35  100.0
19.40  80.8
33.94  63.3
35.53  62.6
26.22  54.1
40.41  45.4

```
data_LiFe2B2O6
_chemical_formula_sum 'Li2 Fe4 B4 O12'
_space_group_name_H-M_alt 'P 1'
_space_group_IT_number 1
_space_group_name_Hall 'P 1'
_cell_length_a 5.2844
_cell_length_b 5.2844
_cell_length_c 10.1062
_cell_angle_alpha 90.18
_cell_angle_beta 90.18
_cell_angle_gamma 120.10
loop_
_atom_site_label
_atom_site_fract_x
_atom_site_fract_y
_atom_site_fract_z
Li1 0.0140 0.9860 0.5000
Li2 0.9860 0.0140 0.0000
Fe1 0.0158 0.3593 0.7158
Fe2 0.3548 0.6596 0.4639
Fe3 0.3593 0.0158 0.2158
Fe4 0.6596 0.3548 0.9639
B1 0.0190 0.3509 0.2094
B2 0.3381 0.6814 0.9642
B3 0.3509 0.0190 0.7094
B4 0.6814 0.3381 0.4642
O1 0.0687 0.1226 0.1918
O2 0.0859 0.4254 0.9179
O3 0.1226 0.0687 0.6918
O4 0.2331 0.6157 0.2606
O5 0.3058 0.9170 0.0081
O6 0.3160 0.7502 0.6712
O7 0.4254 0.0859 0.4179
O8 0.6017 0.6958 0.9681
O9 0.6157 0.2331 0.7606
O10 0.6958 0.6017 0.4681
O11 0.7502 0.3160 0.1712
O12 0.9170 0.3058 0.5081
```



# Li3FeSiBO7
Calculated XRD peak list, Cu Kα (λ = 1.5418 Å). Input: a DFT-relaxed cell (GGA+U, Alexandria).

The 6 most intense peaks (10 to 80 degrees two-theta), by intensity:
2θ/deg  I/Imax
28.07  100.0
10.50  95.4
17.48  60.3
21.23  56.1
19.75  45.6
26.43  43.7

```
data_Li3FeSiBO7
_chemical_formula_sum 'Li6 Fe2 Si2 B2 O14'
_space_group_name_H-M_alt 'P 1'
_space_group_IT_number 1
_space_group_name_Hall 'P 1'
_cell_length_a 5.0657
_cell_length_b 6.3577
_cell_length_c 8.4542
_cell_angle_alpha 90.00
_cell_angle_beta 94.64
_cell_angle_gamma 90.00
loop_
_atom_site_label
_atom_site_fract_x
_atom_site_fract_y
_atom_site_fract_z
Li1 0.2416 0.2500 0.1076
Li2 0.2458 0.0058 0.7608
Li3 0.2458 0.4942 0.7608
Li4 0.7542 0.5058 0.2392
Li5 0.7542 0.9942 0.2392
Li6 0.7584 0.7500 0.8924
Fe1 0.2034 0.7500 0.3306
Fe2 0.7966 0.2500 0.6694
Si1 0.2728 0.2500 0.4250
Si2 0.7272 0.7500 0.5750
B1 0.2715 0.7500 0.0403
B2 0.7285 0.2500 0.9597
O1 0.0142 0.7500 0.0813
O2 0.1464 0.2500 0.5971
O3 0.1723 0.0566 0.3052
O4 0.1723 0.4434 0.3052
O5 0.3574 0.7500 0.8926
O6 0.4051 0.7500 0.5357
O7 0.4630 0.7500 0.1717
O8 0.5370 0.2500 0.8283
O9 0.5949 0.2500 0.4643
O10 0.6426 0.2500 0.1074
O11 0.8277 0.5566 0.6948
O12 0.8277 0.9434 0.6948
O13 0.8536 0.7500 0.4029
O14 0.9858 0.2500 0.9187
```